[1]
This entry pairs a crystal structure of TiMn2O6 with its theoretical X-ray diffraction stick pattern. Radiation: a wavelength of 1.5418 Å. Structure: a crystal structure in the Materials Project, relaxed with GGA+U.
Lines closer than 0.1° are merged.

Top 10 peaks for 2θ from 5° to 70°, in order of rising 2θ:
2θ = 18.77°, I 100
2θ = 35.66°, I 34
2θ = 37.36°, I 5
2θ = 43.63°, I 51
2θ = 47.88°, I 8
2θ = 58.08°, I 15
2θ = 62.91°, I 15
2θ = 63.89°, I 11
2θ = 66.23°, I 5
2θ = 66.32°, I 9

Atomic structure:
```
TiMn2O6
1.0
6.3651 -1.4785 0.0000
6.3651 1.4785 0.0000
-1.2278 0.0000 5.6955
Ti Mn O
1 2 6
direct
0.0000 0.0000 0.0000 Ti
0.3326 0.3326 0.6650 Mn
0.6674 0.6674 0.3350 Mn
0.1589 0.1589 0.1145 O
0.1777 0.1777 0.5575 O
0.4881 0.4881 0.7724 O
0.5119 0.5119 0.2276 O
0.8223 0.8223 0.4425 O
0.8411 0.8411 0.8855 O
```

=====

[2]
This entry pairs a crystal structure of V3P4O16 with its theoretical X-ray diffraction stick pattern. Radiation: a wavelength of 1.5418 Å. Structure: a crystal structure in the Materials Project, relaxed with GGA+U.
Lines closer than 0.1° are merged.

Top 10 peaks for 2θ from 5° to 70°, in order of rising 2θ:
2θ = 9.27°, I 100
2θ = 14.56°, I 33
2θ = 16.60°, I 31
2θ = 16.76°, I 29
2θ = 18.43°, I 13
2θ = 19.04°, I 16
2θ = 27.18°, I 15
2θ = 28.44°, I 11
2θ = 32.35°, I 26
2θ = 32.83°, I 13

Atomic structure:
```
V3P4O16
1.0
9.5467 -3.2106 0.0000
9.5467 3.2106 0.0000
-0.4053 0.0000 10.9115
V P O
6 8 32
direct
0.0000 0.5000 0.0000 V
0.1337 0.1678 0.2482 V
0.1678 0.1337 0.7482 V
0.5000 0.0000 0.5000 V
0.8322 0.8663 0.2518 V
0.8663 0.8322 0.7518 V
0.0783 0.7547 0.0118 P
0.2453 0.9217 0.4882 P
0.2843 0.3130 0.2525 P
0.3130 0.2843 0.7525 P
0.6870 0.7157 0.2475 P
0.7157 0.6870 0.7475 P
0.7547 0.0783 0.5118 P
0.9217 0.2453 0.9882 P
0.0527 0.1331 0.1148 O
0.0941 0.1028 0.3866 O
0.1028 0.0941 0.8866 O
0.1331 0.0527 0.6148 O
0.1353 0.5510 0.2720 O
0.1365 0.5517 0.0081 O
0.1662 0.5198 0.7306 O
0.1950 0.2873 0.1431 O
0.2221 0.2656 0.8586 O
0.2607 0.7036 0.0264 O
0.2656 0.2221 0.3586 O
0.2873 0.1950 0.6431 O
0.2964 0.7393 0.4736 O
0.4483 0.8635 0.4919 O
0.4490 0.8647 0.2280 O
0.4802 0.8338 0.7694 O
0.5198 0.1662 0.2306 O
0.5510 0.1353 0.7720 O
0.5517 0.1365 0.5081 O
0.7036 0.2607 0.5264 O
0.7127 0.8050 0.3569 O
0.7344 0.7779 0.6414 O
0.7393 0.2964 0.9736 O
0.7779 0.7344 0.1414 O
0.8050 0.7127 0.8569 O
0.8338 0.4802 0.2694 O
0.8635 0.4483 0.9919 O
0.8647 0.4490 0.7280 O
0.8669 0.9473 0.3852 O
0.8972 0.9059 0.1134 O
0.9059 0.8972 0.6134 O
0.9473 0.8669 0.8852 O
```

=====

[3]
This entry pairs a crystal structure of CaLuMn2O6 with its theoretical X-ray diffraction stick pattern. Radiation: a wavelength of 1.5418 Å. Structure: a crystal structure in the Materials Project, relaxed with GGA+U.
Lines closer than 0.1° are merged.

Top 10 peaks for 2θ from 5° to 70°, in order of rising 2θ:
2θ = 19.88°, I 32
2θ = 20.51°, I 39
2θ = 26.08°, I 21
2θ = 32.19°, I 19
2θ = 33.41°, I 100
2θ = 33.79°, I 25
2θ = 39.52°, I 20
2θ = 47.36°, I 21
2θ = 49.00°, I 20
2θ = 60.20°, I 24

Atomic structure:
```
CaLuMn2O6
1.0
7.4970 0.0000 0.0000
0.0000 5.5610 0.0000
0.0000 0.0000 5.3059
Ca Lu Mn O
2 2 4 12
direct
0.0000 0.1932 0.0000 Ca
0.5000 0.8068 0.5000 Ca
0.0000 0.6770 0.5298 Lu
0.5000 0.3230 0.0298 Lu
0.2503 0.2459 0.5121 Mn
0.2497 0.7541 0.0121 Mn
0.7497 0.2459 0.5121 Mn
0.7503 0.7541 0.0121 Mn
0.0000 0.2916 0.4197 O
0.0000 0.7797 0.1292 O
0.1953 0.9381 0.7022 O
0.2007 0.4578 0.8012 O
0.2993 0.5422 0.3012 O
0.3047 0.0619 0.2022 O
0.5000 0.2203 0.6292 O
0.5000 0.7084 0.9197 O
0.6953 0.0619 0.2022 O
0.7007 0.5422 0.3012 O
0.7993 0.4578 0.8012 O
0.8047 0.9381 0.7022 O
```